Entry 1:
Structure and theoretical X-ray diffraction stick pattern of Rb3SF (DFT lattice parameters and positions (GGA-PBE); Cu Kα, 1.54184 Å).

```
Rb3SF
1.0
5.4648 0.0000 0.0000
0.0000 7.5870 0.0000
0.0000 0.0000 7.5879
Rb S F
6 2 2
Direct
0.0000 0.0661 0.0000 Rb
0.0000 0.4325 0.6336 Rb
0.0000 0.5675 0.1336 Rb
0.0000 0.9339 0.5000 Rb
0.5000 0.2491 0.3159 Rb
0.5000 0.7509 0.8159 Rb
0.5000 0.2482 0.8150 S
0.5000 0.7518 0.3150 S
0.0000 0.2506 0.3161 F
0.0000 0.7494 0.8161 F
```

The 10 most intense peaks (10° ≤ 2θ ≤ 90°), in order of rising 2θ:
Position (°2θ)	Rel. int.
26.3	37.2
28.6	100.0
31.0	48.2
32.8	36.7
33.4	33.5
37.5	20.4
42.5	19.9
47.5	23.5
50.6	16.7
52.5	18.8

Entry 2:
Structure and theoretical X-ray diffraction stick pattern of La2BiCl2 (DFT lattice parameters and positions (GGA-PBE); Cu Kα, 1.54184 Å).

```
La2BiCl2
1.0
9.4107 -2.2576 0.0000
9.4107 2.2576 0.0000
-0.9933 0.0000 7.7050
La Bi Cl
4 2 4
Direct
0.1323 0.1323 0.4578 La
0.1484 0.1484 0.9699 La
0.8516 0.8516 0.0301 La
0.8677 0.8677 0.5422 La
0.2867 0.2867 0.2778 Bi
0.7133 0.7133 0.7222 Bi
0.0240 0.0240 0.7141 Cl
0.3916 0.3916 0.8076 Cl
0.6084 0.6084 0.1924 Cl
0.9760 0.9760 0.2859 Cl
```

The 10 most intense peaks (10° ≤ 2θ ≤ 90°), in order of rising 2θ:
Position (°2θ)	Rel. int.
20.2	28.1
23.6	39.0
26.2	53.1
28.1	38.5
31.4	66.8
32.0	28.7
32.5	100.0
35.1	49.1
39.2	63.5
39.9	40.1